Record 1
Starting from a crystal structure in the Materials Project, relaxed with PBE, the powder X-ray diffraction pattern of GdPt3 was computed for Cu Ka.
Kinematic intensities with the Lorentz-polarization factor, no thermal factor.

Structure:
Unit cell a=4.149 b=4.149 c=4.149 alpha=90.00 beta=90.00 gamma=90.00
Fractional coordinates of all 4 atoms:
1 Gd 0.000 0.000 0.000
2 Pt 0.000 0.500 0.500
3 Pt 0.500 0.000 0.500
4 Pt 0.500 0.500 0.000

Most intense lines, 5 to 70 degrees two-theta, most intense first:
| d (Å) | I (rel.) |
| --- | --- |
| 2.396 | 100 |
| 2.075 | 49 |
| 1.467 | 33 |
| 4.149 | 1 |
| 2.934 | 1 |

Record 2
Starting from a crystal structure in the Materials Project, relaxed with PBE, the powder X-ray diffraction pattern of GdPt2 was computed for Cu Ka.
Kinematic intensities with the Lorentz-polarization factor, no thermal factor.

Structure:
Unit cell a=5.468 b=5.468 c=5.468 alpha=60.00 beta=60.00 gamma=60.00
Fractional coordinates of all 6 atoms:
1 Gd 0.125 0.125 0.125
2 Gd 0.875 0.875 0.875
3 Pt 0.000 0.500 0.500
4 Pt 0.500 0.000 0.500
5 Pt 0.500 0.500 0.000
6 Pt 0.500 0.500 0.500

Most intense lines, 5 to 70 degrees two-theta, most intense first:
| d (Å) | I (rel.) |
| --- | --- |
| 2.332 | 100 |
| 2.232 | 48 |
| 1.488 | 33 |
| 1.367 | 30 |
| 2.734 | 21 |
| 4.465 | 13 |
| 1.933 | 8 |
| 1.579 | 8 |
| 1.774 | 3 |

Record 3
Starting from a crystal structure in the Materials Project, relaxed with PBE, the powder X-ray diffraction pattern of GdSiPt was computed for Cu Ka.
Kinematic intensities with the Lorentz-polarization factor, no thermal factor.

Structure:
Unit cell a=4.114 b=4.114 c=14.554 alpha=90.00 beta=90.00 gamma=90.00
Fractional coordinates of all 12 atoms:
1 Gd 0.000 0.000 0.000
2 Gd 0.000 0.500 0.250
3 Gd 0.500 0.000 0.750
4 Gd 0.500 0.500 0.500
5 Si 0.000 0.000 0.419
6 Si 0.000 0.500 0.669
7 Si 0.500 0.000 0.169
8 Si 0.500 0.500 0.919
9 Pt 0.000 0.000 0.585
10 Pt 0.000 0.500 0.835
11 Pt 0.500 0.000 0.335
12 Pt 0.500 0.500 0.085

Most intense lines, 5 to 70 degrees two-theta, most intense first:
| d (Å) | I (rel.) |
| --- | --- |
| 2.701 | 100 |
| 2.376 | 50 |
| 3.138 | 44 |
| 2.057 | 36 |
| 1.555 | 27 |
| 1.856 | 23 |
| 1.378 | 18 |
| 1.720 | 16 |
| 3.959 | 12 |
| 1.455 | 12 |
| 3.638 | 12 |
| 1.791 | 7 |

Record 4
Starting from a crystal structure in the Materials Project, relaxed with PBE, the powder X-ray diffraction pattern of GdSiPt2 was computed for Cu Ka.
Kinematic intensities with the Lorentz-polarization factor, no thermal factor.

Structure:
Unit cell a=7.434 b=6.938 c=5.605 alpha=90.00 beta=90.00 gamma=90.00
Fractional coordinates of all 16 atoms:
1 Gd 0.029 0.250 0.141
2 Gd 0.471 0.750 0.641
3 Gd 0.529 0.250 0.359
4 Gd 0.971 0.750 0.859
5 Si 0.123 0.750 0.358
6 Si 0.377 0.250 0.858
7 Si 0.623 0.750 0.142
8 Si 0.877 0.250 0.642
9 Pt 0.178 0.051 0.592
10 Pt 0.178 0.449 0.592
11 Pt 0.322 0.551 0.092
12 Pt 0.322 0.949 0.092
13 Pt 0.678 0.051 0.908
14 Pt 0.678 0.449 0.908
15 Pt 0.822 0.551 0.408
16 Pt 0.822 0.949 0.408

Most intense lines, 5 to 70 degrees two-theta, most intense first:
| d (Å) | I (rel.) |
| --- | --- |
| 2.266 | 100 |
| 2.622 | 93 |
| 2.536 | 93 |
| 2.742 | 78 |
| 2.453 | 70 |
| 1.448 | 69 |
| 2.055 | 63 |
| 2.092 | 57 |
| 2.829 | 51 |
| 2.311 | 49 |
| 2.138 | 36 |
| 1.504 | 26 |